Entry 1:
Computed XRD peak list
Compound: KIBr2O
Radiation: copper Kα
Structure: a GGA-PBE-relaxed structure
Peak positions follow from Bragg's law for the DFT cell and can differ from measured ones.

Peak list (8 most intense, 10° ≤ 2θ ≤ 90°, low angle first)
18.28 deg, 4.854 Å, I = 100; 20.32 deg, 4.370 Å, I = 17; 23.54 deg, 3.779 Å, I = 17; 31.47 deg, 2.842 Å, I = 20; 33.04 deg, 2.711 Å, I = 18; 33.44 deg, 2.680 Å, I = 18; 33.63 deg, 2.665 Å, I = 29; 44.34 deg, 2.043 Å, I = 30

Cell and atoms:
abc: 11.7511 13.0722 5.3304
angles: 90.00 90.00 90.00
Sites, in units of the cell vectors:
K 0.2044 0.2432 0.0000
K 0.2956 0.7432 0.5000
K 0.7044 0.2568 0.5000
K 0.7956 0.7568 0.0000
I 0.0000 0.0000 0.0000
I 0.0000 0.5000 0.0000
I 0.5000 0.0000 0.5000
I 0.5000 0.5000 0.5000
Br 0.0994 0.6887 0.0000
Br 0.2233 0.9416 0.0000
Br 0.2767 0.4416 0.5000
Br 0.4006 0.1887 0.5000
Br 0.5994 0.8113 0.5000
Br 0.7233 0.5584 0.5000
Br 0.7767 0.0584 0.0000
Br 0.9006 0.3113 0.0000
O 0.2073 0.2634 0.5000
O 0.2927 0.7634 0.0000
O 0.7073 0.2366 0.0000
O 0.7927 0.7366 0.5000

Entry 2:
Computed XRD peak list
Compound: Ba6Cu3Hg3O13
Radiation: copper Kα
Structure: a GGA-PBE-relaxed structure
Peak positions follow from Bragg's law for the DFT cell and can differ from measured ones.

Peak list (8 most intense, 10° ≤ 2θ ≤ 90°, low angle first)
24.70 deg, 3.604 Å, I = 28; 29.42 deg, 3.036 Å, I = 100; 32.51 deg, 2.754 Å, I = 26; 32.79 deg, 2.731 Å, I = 25; 46.85 deg, 1.939 Å, I = 23; 52.50 deg, 1.743 Å, I = 15; 56.11 deg, 1.639 Å, I = 17; 56.47 deg, 1.630 Å, I = 16

Cell and atoms:
abc: 8.7015 8.7015 11.2049
angles: 117.83 117.83 36.59
Sites, in units of the cell vectors:
Ba 0.0691 0.0691 0.2068
Ba 0.2654 0.2654 0.7958
Ba 0.4067 0.4067 0.2202
Ba 0.5933 0.5933 0.7798
Ba 0.7346 0.7346 0.2042
Ba 0.9309 0.9309 0.7932
Cu 0.1666 0.1666 0.9982
Cu 0.5000 0.5000 0.0000
Cu 0.8334 0.8334 0.0018
Hg 0.0000 0.0000 0.5000
Hg 0.3361 0.3361 0.4999
Hg 0.6639 0.6639 0.5001
O 0.0000 0.5000 0.0000
O 0.0699 0.0699 0.7095
O 0.1654 0.6690 0.9994
O 0.2601 0.2601 0.2907
O 0.3310 0.8346 0.0006
O 0.3995 0.3995 0.7091
O 0.5000 0.0000 0.0000
O 0.5000 0.5000 0.5000
O 0.6005 0.6005 0.2909
O 0.6690 0.1654 0.9994
O 0.7399 0.7399 0.7093
O 0.8346 0.3310 0.0006
O 0.9301 0.9301 0.2905

Entry 3:
Computed XRD peak list
Compound: Tl4CdPb10
Radiation: copper Kα
Structure: a GGA-PBE-relaxed structure
Peak positions follow from Bragg's law for the DFT cell and can differ from measured ones.

Peak list (8 most intense, 10° ≤ 2θ ≤ 90°, low angle first)
20.63 deg, 4.305 Å, I = 33; 24.03 deg, 3.703 Å, I = 18; 33.88 deg, 2.646 Å, I = 100; 34.25 deg, 2.618 Å, I = 49; 40.31 deg, 2.237 Å, I = 12; 49.21 deg, 1.852 Å, I = 18; 60.39 deg, 1.533 Å, I = 19; 61.09 deg, 1.517 Å, I = 38

Cell and atoms:
abc: 9.1027 9.1027 9.1027
angles: 99.94 99.94 130.91
Sites, in units of the cell vectors:
Tl 0.0977 0.2974 0.3951
Tl 0.2974 0.9023 0.1997
Tl 0.7026 0.0977 0.8003
Tl 0.9023 0.7026 0.6049
Cd 0.5000 0.5000 0.0000
Pb 0.0613 0.1579 0.7031
Pb 0.1579 0.4548 0.0966
Pb 0.2500 0.7500 0.5000
Pb 0.3582 0.0613 0.9034
Pb 0.4548 0.3582 0.2969
Pb 0.5452 0.6418 0.7031
Pb 0.6418 0.9387 0.0966
Pb 0.7500 0.2500 0.5000
Pb 0.8421 0.5452 0.9034
Pb 0.9387 0.8421 0.2969

Entry 4:
Computed XRD peak list
Compound: Ba3Tb4O9
Radiation: copper Kα
Structure: a GGA-PBE-relaxed structure
Peak positions follow from Bragg's law for the DFT cell and can differ from measured ones.

Peak list (8 most intense, 10° ≤ 2θ ≤ 90°, low angle first)
28.91 deg, 3.088 Å, I = 100; 29.44 deg, 3.034 Å, I = 81; 41.74 deg, 2.164 Å, I = 42; 43.07 deg, 2.100 Å, I = 18; 51.24 deg, 1.783 Å, I = 24; 51.57 deg, 1.772 Å, I = 36; 59.92 deg, 1.544 Å, I = 22; 68.14 deg, 1.376 Å, I = 15

Cell and atoms:
abc: 9.3045 9.3045 9.3045
angles: 38.77 38.77 38.77
Sites, in units of the cell vectors:
Ba 0.0000 0.0000 0.0000
Ba 0.1667 0.1667 0.1667
Ba 0.5888 0.5888 0.5888
Tb 0.3010 0.3010 0.3010
Tb 0.4270 0.4270 0.4270
Tb 0.7394 0.7394 0.7394
Tb 0.8647 0.8647 0.8647
O 0.0153 0.1494 0.5845
O 0.0385 0.5814 0.4581
O 0.1220 0.7159 0.5761
O 0.1494 0.5845 0.0153
O 0.4581 0.0385 0.5814
O 0.5761 0.1220 0.7159
O 0.5814 0.4581 0.0385
O 0.5845 0.0153 0.1494
O 0.7159 0.5761 0.1220

Entry 5:
Computed XRD peak list
Compound: Co4B3
Radiation: copper Kα
Structure: a GGA-PBE-relaxed structure
Peak positions follow from Bragg's law for the DFT cell and can differ from measured ones.

Peak list (8 most intense, 10° ≤ 2θ ≤ 90°, low angle first)
33.49 deg, 2.675 Å, I = 26; 36.86 deg, 2.439 Å, I = 16; 39.21 deg, 2.297 Å, I = 100; 44.99 deg, 2.015 Å, I = 54; 55.70 deg, 1.650 Å, I = 19; 57.61 deg, 1.600 Å, I = 49; 71.92 deg, 1.313 Å, I = 15; 82.53 deg, 1.169 Å, I = 22

Cell and atoms:
abc: 7.0923 7.0923 7.0923
angles: 26.07 26.07 26.07
Sites, in units of the cell vectors:
Co 0.1227 0.1227 0.1227
Co 0.2960 0.2960 0.2960
Co 0.7040 0.7040 0.7040
Co 0.8773 0.8773 0.8773
B 0.4055 0.4055 0.4055
B 0.5000 0.5000 0.5000
B 0.5945 0.5945 0.5945

Entry 6:
Computed XRD peak list
Compound: SmHS2
Radiation: copper Kα
Structure: a GGA-PBE-relaxed structure
Peak positions follow from Bragg's law for the DFT cell and can differ from measured ones.

Peak list (8 most intense, 10° ≤ 2θ ≤ 90°, low angle first)
19.34 deg, 4.590 Å, I = 100; 24.81 deg, 3.589 Å, I = 32; 25.56 deg, 3.486 Å, I = 55; 28.77 deg, 3.104 Å, I = 20; 36.83 deg, 2.441 Å, I = 42; 38.39 deg, 2.345 Å, I = 49; 39.26 deg, 2.295 Å, I = 20; 45.23 deg, 2.005 Å, I = 24

Cell and atoms:
abc: 4.2170 6.1934 6.8366
angles: 90.00 90.00 90.00
Sites, in units of the cell vectors:
Sm 0.0000 0.2119 0.0000
Sm 0.5000 0.7881 0.5000
H 0.0000 0.3426 0.4608
H 0.5000 0.6574 0.9608
S 0.0000 0.0196 0.6418
S 0.0000 0.5126 0.3307
S 0.5000 0.4874 0.8307
S 0.5000 0.9804 0.1418

Entry 7:
Computed XRD peak list
Compound: NaCdB2F8
Radiation: copper Kα
Structure: a GGA-PBE-relaxed structure
Peak positions follow from Bragg's law for the DFT cell and can differ from measured ones.

Peak list (8 most intense, 10° ≤ 2θ ≤ 90°, low angle first)
19.63 deg, 4.521 Å, I = 65; 26.83 deg, 3.323 Å, I = 100; 30.39 deg, 2.942 Å, I = 43; 33.33 deg, 2.688 Å, I = 56; 38.98 deg, 2.310 Å, I = 60; 39.88 deg, 2.261 Å, I = 36; 42.79 deg, 2.113 Å, I = 38; 44.22 deg, 2.048 Å, I = 70

Cell and atoms:
abc: 7.0455 7.0455 7.0455
angles: 44.85 44.85 44.85
Sites, in units of the cell vectors:
Na 0.0000 0.0000 0.0000
Cd 0.5000 0.5000 0.5000
B 0.2710 0.2710 0.2710
B 0.7290 0.7290 0.7290
F 0.1020 0.1020 0.5338
F 0.1020 0.5338 0.1020
F 0.3453 0.3453 0.3453
F 0.4662 0.8980 0.8980
F 0.5338 0.1020 0.1020
F 0.6547 0.6547 0.6547
F 0.8980 0.4662 0.8980
F 0.8980 0.8980 0.4662

Entry 8:
Computed XRD peak list
Compound: YUSe4
Radiation: copper Kα
Structure: a GGA-PBE-relaxed structure
Peak positions follow from Bragg's law for the DFT cell and can differ from measured ones.

Peak list (8 most intense, 10° ≤ 2θ ≤ 90°, low angle first)
12.63 deg, 7.007 Å, I = 17; 12.98 deg, 6.819 Å, I = 100; 25.26 deg, 3.526 Å, I = 30; 30.38 deg, 2.942 Å, I = 37; 30.60 deg, 2.921 Å, I = 76; 40.01 deg, 2.253 Å, I = 17; 43.22 deg, 2.093 Å, I = 26; 44.11 deg, 2.053 Å, I = 40

Cell and atoms:
abc: 7.2034 7.2034 7.0871
angles: 98.24 98.24 33.55
Sites, in units of the cell vectors:
Y 0.0000 0.0000 0.0000
U 0.5000 0.5000 0.5000
Se 0.1112 0.1112 0.3788
Se 0.3888 0.3888 0.1482
Se 0.6112 0.6112 0.8518
Se 0.8888 0.8888 0.6212

Entry 9:
Computed XRD peak list
Compound: MnAl4Cr
Radiation: copper Kα
Structure: a GGA-PBE-relaxed structure
Peak positions follow from Bragg's law for the DFT cell and can differ from measured ones.

Peak list (8 most intense, 10° ≤ 2θ ≤ 90°, low angle first)
35.33 deg, 2.540 Å, I = 57; 41.69 deg, 2.166 Å, I = 100; 43.64 deg, 2.074 Å, I = 20; 63.42 deg, 1.467 Å, I = 17; 67.77 deg, 1.383 Å, I = 29; 74.74 deg, 1.270 Å, I = 22; 85.47 deg, 1.136 Å, I = 7; 89.43 deg, 1.096 Å, I = 10

Cell and atoms:
abc: 5.0804 5.0804 5.0804
angles: 60.00 60.00 60.00
Sites, in units of the cell vectors:
Mn 0.0000 0.0000 0.0000
Al 0.1254 0.6249 0.6249
Al 0.6249 0.1254 0.6249
Al 0.6249 0.6249 0.1254
Al 0.6249 0.6249 0.6249
Cr 0.2500 0.2500 0.2500

Entry 10:
Computed XRD peak list
Compound: Tb6Fe2Pb
Radiation: copper Kα
Structure: a GGA-PBE-relaxed structure
Peak positions follow from Bragg's law for the DFT cell and can differ from measured ones.

Peak list (8 most intense, 10° ≤ 2θ ≤ 90°, low angle first)
29.38 deg, 3.040 Å, I = 21; 31.59 deg, 2.832 Å, I = 100; 33.84 deg, 2.649 Å, I = 20; 34.07 deg, 2.631 Å, I = 29; 34.44 deg, 2.604 Å, I = 17; 37.51 deg, 2.398 Å, I = 17; 55.08 deg, 1.667 Å, I = 16; 58.78 deg, 1.571 Å, I = 17

Cell and atoms:
abc: 8.5024 8.5024 8.5024
angles: 111.32 109.82 107.30
Sites, in units of the cell vectors:
Tb 0.0105 0.2289 0.7816
Tb 0.1877 0.2890 0.4767
Tb 0.1877 0.7110 0.8988
Tb 0.3122 0.0120 0.6999
Tb 0.3122 0.6123 0.3001
Tb 0.4472 0.2289 0.2184
Tb 0.5528 0.7711 0.7816
Tb 0.6878 0.3877 0.6999
Tb 0.6878 0.9880 0.3001
Tb 0.8123 0.2890 0.1012
Tb 0.8123 0.7110 0.5233
Tb 0.9895 0.7711 0.2184
Fe 0.1072 0.6072 0.5000
Fe 0.3890 0.0000 0.3890
Fe 0.6110 0.0000 0.6110
Fe 0.8928 0.3928 0.5000
Pb 0.0000 0.0000 0.0000
Pb 0.5000 0.5000 0.0000

Entry 11:
Computed XRD peak list
Compound: CaNdAl6
Radiation: copper Kα
Structure: a GGA-PBE-relaxed structure
Peak positions follow from Bragg's law for the DFT cell and can differ from measured ones.

Peak list (8 most intense, 10° ≤ 2θ ≤ 90°, low angle first)
14.65 deg, 6.048 Å, I = 40; 24.70 deg, 3.604 Å, I = 44; 28.64 deg, 3.117 Å, I = 96; 32.38 deg, 2.765 Å, I = 45; 32.94 deg, 2.720 Å, I = 57; 35.11 deg, 2.556 Å, I = 76; 38.71 deg, 2.326 Å, I = 100; 40.19 deg, 2.244 Å, I = 40

Cell and atoms:
abc: 4.4880 6.0482 6.2176
angles: 90.00 90.00 90.00
Sites, in units of the cell vectors:
Ca 0.0000 0.0000 0.0000
Nd 0.5000 0.5000 0.2099
Al 0.0000 0.2463 0.4697
Al 0.0000 0.5000 0.8430
Al 0.0000 0.7537 0.4697
Al 0.5000 0.0000 0.3696
Al 0.5000 0.2548 0.7381
Al 0.5000 0.7452 0.7381

Entry 12:
Computed XRD peak list
Compound: PaTiTlO6
Radiation: copper Kα
Structure: a GGA-PBE-relaxed structure
Peak positions follow from Bragg's law for the DFT cell and can differ from measured ones.

Peak list (8 most intense, 10° ≤ 2θ ≤ 90°, low angle first)
19.03 deg, 4.663 Å, I = 18; 26.51 deg, 3.362 Å, I = 100; 33.28 deg, 2.692 Å, I = 36; 43.05 deg, 2.101 Å, I = 28; 50.66 deg, 1.802 Å, I = 33; 55.47 deg, 1.656 Å, I = 27; 59.47 deg, 1.554 Å, I = 11; 76.18 deg, 1.250 Å, I = 11

Cell and atoms:
abc: 5.3843 5.3843 4.8511
angles: 90.00 90.00 120.00
Sites, in units of the cell vectors:
Pa 0.0000 0.0000 0.0000
Ti 0.3333 0.6667 0.5000
Tl 0.6667 0.3333 0.5000
O 0.0400 0.3531 0.2627
O 0.0400 0.6869 0.7373
O 0.3131 0.3531 0.7373
O 0.3131 0.9600 0.2627
O 0.6469 0.6869 0.2627
O 0.6469 0.9600 0.7373